For Er2Tm3Mg3, a PBE-relaxed structure gives the computed powder diffraction line list in this record (Cu Ka).

Cell and atoms:
```
data_Er2Tm3Mg3
_symmetry_space_group_name_H-M 'P 1 m 1'
_symmetry_Int_Tables_number 6
_symmetry_space_group_name_Hall 'P -2y'
_cell_length_a 6.788
_cell_length_b 5.477
_cell_length_c 6.797
_cell_angle_alpha 90.00
_cell_angle_beta 118.73
_cell_angle_gamma 90.00
loop_
_atom_site_label
_atom_site_type_symbol
_atom_site_fract_x
_atom_site_fract_y
_atom_site_fract_z
Er1 Er 0.000 0.000 0.000
Er2 Er 0.319 0.500 0.685
Tm1 Tm 0.498 0.000 0.502
Tm2 Tm 0.816 0.500 0.180
Tm3 Tm 0.993 0.000 0.503
Mg1 Mg 0.322 0.500 0.182
Mg2 Mg 0.499 0.000 0.003
Mg3 Mg 0.821 0.500 0.676
```

Main lines, sorted by position (10° ≤ 2θ ≤ 90°):
(hkl)  Position (°2θ)  I/Imax
1 1 -1  22.2  33
1 0 1  25.7  14
2 0 0  30.0  18
2 0 -2  30.6  19
0 2 0  32.7  35
0 1 2  34.3  100
2 1 -2  34.8  36
4 0 -2  54.0  16
0 3 2  59.4  21
4 2 -2  64.6  18



For IrBr2, a PBE-relaxed structure gives the computed powder diffraction line list in this record (Cu Ka).

Cell and atoms:
```
data_IrBr2
_symmetry_space_group_name_H-M 'P 42/m n m'
_symmetry_Int_Tables_number 136
_symmetry_space_group_name_Hall '-P 4n 2n'
_cell_length_a 5.962
_cell_length_b 5.962
_cell_length_c 3.939
_cell_angle_alpha 90.00
_cell_angle_beta 90.00
_cell_angle_gamma 90.00
loop_
_atom_site_label
_atom_site_type_symbol
_atom_site_fract_x
_atom_site_fract_y
_atom_site_fract_z
Ir1 Ir 0.000 0.000 0.000
Br1 Br 0.195 0.195 0.500
```

Main lines, sorted by position (10° ≤ 2θ ≤ 90°):
(hkl)  Position (°2θ)  I/Imax
1 1 0  21.1  100
1 0 1  27.1  44
1 1 1  31.1  38
2 1 0  33.6  14
2 1 1  40.9  91
2 2 0  42.9  30
0 0 2  46.1  19
1 1 2  51.2  19
3 0 1  51.5  47
2 2 2  64.8  18



For TbYIn2Br2, a PBE-relaxed structure gives the computed powder diffraction line list in this record (Cu Ka).

Cell and atoms:
```
data_TbYIn2Br2
_symmetry_space_group_name_H-M 'P 3 m 1'
_symmetry_Int_Tables_number 156
_symmetry_space_group_name_Hall 'P 3 -2"'
_cell_length_a 4.4248
_cell_length_b 4.4248
_cell_length_c 10.8555
_cell_angle_alpha 90.00
_cell_angle_beta 90.00
_cell_angle_gamma 120.00
loop_
_atom_site_label
_atom_site_type_symbol
_atom_site_fract_x
_atom_site_fract_y
_atom_site_fract_z
Tb1 Tb 0.0000 0.0000 0.0000
Y1 Y 0.0000 0.0000 0.5903
In1 In 0.3333 0.6667 0.8446
In2 In 0.6667 0.3333 0.7457
Br1 Br 0.3333 0.6667 0.4409
Br2 Br 0.6667 0.3333 0.1501
```

Main lines, sorted by position (10° ≤ 2θ ≤ 90°):
(hkl)  Position (°2θ)  I/Imax
1 0 2  28.5  100
1 0 3  34.1  52
1 1 0  40.8  63
0 0 5  41.6  13
0 1 5  48.2  30
0 2 2  50.5  20
0 2 3  54.2  14
2 0 5  64.9  14
2 1 2  66.9  18
1 1 7  74.8  13



For Cu5Ag4, a PBE-relaxed structure gives the computed powder diffraction line list in this record (Cu Ka).

Cell and atoms:
```
data_Cu5Ag4
_symmetry_space_group_name_H-M 'C 1 2/m 1'
_symmetry_Int_Tables_number 12
_symmetry_space_group_name_Hall '-C 2y'
_cell_length_a 9.170
_cell_length_b 2.774
_cell_length_c 11.228
_cell_angle_alpha 90.00
_cell_angle_beta 114.03
_cell_angle_gamma 90.00
loop_
_atom_site_label
_atom_site_type_symbol
_atom_site_fract_x
_atom_site_fract_y
_atom_site_fract_z
Cu1 Cu 0.000 0.000 0.000
Cu2 Cu 0.014 0.000 0.333
Cu3 Cu 0.151 0.500 0.212
Ag1 Ag 0.166 0.500 0.880
Ag2 Ag 0.167 0.500 0.568
```

Main lines, sorted by position (10° ≤ 2θ ≤ 90°):
(hkl)  Position (°2θ)  I/Imax
4 0 -3  40.3  100
1 1 -3  40.5  99
3 1 0  46.1  67
2 0 -6  48.7  26
6 0 0  67.1  10
0 2 0  67.5  10
5 1 -6  69.3  35
7 1 -3  81.3  21
4 2 -3  81.7  23
3 1 -9  85.3  13



For ErMgCdP2, a PBE-relaxed structure gives the computed powder diffraction line list in this record (Cu Ka).

Cell and atoms:
```
data_ErMgCdP2
_symmetry_space_group_name_H-M 'P 3 m 1'
_symmetry_Int_Tables_number 156
_symmetry_space_group_name_Hall 'P 3 -2"'
_cell_length_a 4.2306
_cell_length_b 4.2306
_cell_length_c 6.7476
_cell_angle_alpha 90.00
_cell_angle_beta 90.00
_cell_angle_gamma 120.00
loop_
_atom_site_label
_atom_site_type_symbol
_atom_site_fract_x
_atom_site_fract_y
_atom_site_fract_z
Er1 Er 0.0000 0.0000 0.0000
Mg1 Mg 0.3333 0.6667 0.3569
Cd1 Cd 0.6667 0.3333 0.6372
P1 P 0.3333 0.6667 0.7581
P2 P 0.6667 0.3333 0.2294
```

Main lines, sorted by position (10° ≤ 2θ ≤ 90°):
(hkl)  Position (°2θ)  I/Imax
0 0 1  13.1  21
1 0 0  24.3  14
0 1 1  27.7  100
1 0 2  36.2  63
1 1 0  42.7  43
2 0 1  51.7  18
0 2 2  57.2  16
1 1 3  60.0  17
1 2 1  69.3  15
2 1 2  74.0  15



For ScFe3Os, a PBE-relaxed structure gives the computed powder diffraction line list in this record (Cu Ka).

Cell and atoms:
```
data_ScFe3Os
_symmetry_space_group_name_H-M 'P -6 m 2'
_symmetry_Int_Tables_number 187
_symmetry_space_group_name_Hall 'P -6 2'
_cell_length_a 4.9555
_cell_length_b 4.9555
_cell_length_c 3.5155
_cell_angle_alpha 90.00
_cell_angle_beta 90.00
_cell_angle_gamma 120.00
loop_
_atom_site_label
_atom_site_type_symbol
_atom_site_fract_x
_atom_site_fract_y
_atom_site_fract_z
Sc1 Sc 0.0000 0.0000 0.0000
Fe1 Fe 0.0319 0.5160 0.5000
Os1 Os 0.6667 0.3333 0.0000
```

Main lines, sorted by position (10° ≤ 2θ ≤ 90°):
(hkl)  Position (°2θ)  I/Imax
1 0 0  20.7  100
1 0 1  32.9  72
1 1 0  36.3  25
2 0 0  42.1  21
1 1 1  44.7  72
2 0 1  49.8  48
0 0 2  52.0  15
2 1 0  56.8  24
3 0 1  71.2  20
2 1 2  80.6  17



For Lu2TlSe4, a PBE-relaxed structure gives the computed powder diffraction line list in this record (Cu Ka).

Cell and atoms:
Lattice parameters (Å, degrees): 11.886 11.886 11.886 90.00 90.00 90.00
Space group Fd-3m (No. 227, origin choice 2)
Symmetry-distinct sites (fractional):
Lu  0.000  0.000  0.000
Tl  0.125  0.125  0.625
Se  0.014  0.014  0.236

Main lines, sorted by position (10° ≤ 2θ ≤ 90°):
(hkl)  Position (°2θ)  I/Imax
2 2 0  21.1  36
3 1 1  24.8  100
4 0 0  30.1  35
5 1 1  39.4  60
4 4 0  43.0  90
5 3 3  50.3  16
5 5 3  59.8  24
5 5 5  68.3  17
8 4 4  78.9  26
9 5 1  84.3  18



For Y2HoFe2Ni7, a PBE-relaxed structure gives the computed powder diffraction line list in this record (Cu Ka).

Cell and atoms:
```
data_Y2HoFe2Ni7
_symmetry_space_group_name_H-M 'R -3 m'
_symmetry_Int_Tables_number 166
_symmetry_space_group_name_Hall '-R 3 2"'
_cell_length_a 4.9709
_cell_length_b 4.9709
_cell_length_c 24.3049
_cell_angle_alpha 90.00
_cell_angle_beta 90.00
_cell_angle_gamma 120.00
loop_
_atom_site_label
_atom_site_type_symbol
_atom_site_fract_x
_atom_site_fract_y
_atom_site_fract_z
Y1 Y 0.0000 0.0000 0.1386
Ho1 Ho 0.0000 0.0000 0.0000
Fe1 Fe 0.0000 0.0000 0.3327
Ni1 Ni 0.0000 0.0000 0.5000
Ni2 Ni 0.0010 0.5005 0.0809
```

Main lines, sorted by position (10° ≤ 2θ ≤ 90°):
(hkl)  Position (°2θ)  I/Imax
1 0 7  33.1  33
1 1 0  36.2  65
0 2 1  42.1  34
1 1 6  42.7  100
0 0 12  44.7  19
2 0 5  46.1  19
1 1 9  49.9  11
3 0 0  65.0  17
2 0 14  69.5  29
2 2 0  76.7  18



For Dy2YFe6Ni3, a PBE-relaxed structure gives the computed powder diffraction line list in this record (Cu Ka).

Cell and atoms:
```
data_Dy2YFe6Ni3
_symmetry_space_group_name_H-M 'R -3 m'
_symmetry_Int_Tables_number 166
_symmetry_space_group_name_Hall '-R 3 2"'
_cell_length_a 4.9889
_cell_length_b 4.9889
_cell_length_c 24.8113
_cell_angle_alpha 90.00
_cell_angle_beta 90.00
_cell_angle_gamma 120.00
loop_
_atom_site_label
_atom_site_type_symbol
_atom_site_fract_x
_atom_site_fract_y
_atom_site_fract_z
Dy1 Dy 0.0000 0.0000 0.1417
Y1 Y 0.0000 0.0000 0.0000
Fe1 Fe 0.0012 0.5006 0.9183
Ni1 Ni 0.0000 0.0000 0.3331
Ni2 Ni 0.0000 0.0000 0.5000
```

Main lines, sorted by position (10° ≤ 2θ ≤ 90°):
(hkl)  Position (°2θ)  I/Imax
0 0 3  10.7  17
1 0 7  32.7  44
0 1 8  35.6  32
1 1 0  36.0  54
0 2 1  42.0  40
1 1 6  42.3  100
0 1 11  45.4  22
2 0 5  45.8  20
3 0 6  69.1  22
2 2 0  76.4  21



For LiNiBi2, a PBE-relaxed structure gives the computed powder diffraction line list in this record (Cu Ka).

Cell and atoms:
```
data_LiNiBi2
_symmetry_space_group_name_H-M 'F -4 3 m'
_symmetry_Int_Tables_number 216
_symmetry_space_group_name_Hall 'F -4 2 3'
_cell_length_a 7.168
_cell_length_b 7.168
_cell_length_c 7.168
_cell_angle_alpha 90.00
_cell_angle_beta 90.00
_cell_angle_gamma 90.00
loop_
_atom_site_label
_atom_site_type_symbol
_atom_site_fract_x
_atom_site_fract_y
_atom_site_fract_z
Li1 Li 0.000 0.000 0.000
Ni1 Ni 0.250 0.250 0.750
Bi1 Bi 0.000 0.000 0.500
Bi2 Bi 0.250 0.250 0.250
```

Main lines, sorted by position (10° ≤ 2θ ≤ 90°):
(hkl)  Position (°2θ)  I/Imax
1 1 1  21.5  59
2 2 0  35.4  100
3 1 1  41.8  33
4 0 0  51.0  18
3 3 1  55.9  15
4 2 2  63.6  37
5 1 1  67.9  11
4 4 0  74.9  12
5 3 1  79.0  11
6 2 0  85.7  17